Structure and simulated PXRD pattern of Sr2MnAlCu2O7 (a DFT-relaxed cell (GGA+U, the Materials Project); CuKα).
Peak positions follow from Bragg's law for the DFT cell and can differ from measured ones.

Largest 10 diffraction maxima, in order of rising 2θ, 10 to 90 degrees two-theta:
d/Å	I (rel.)	index
3.165	527	1 1 3
2.707	834	1 1 -2
2.663	1000	0 2 1
2.337	392	0 0 5
2.308	375	1 1 5
1.883	435	2 2 2
1.756	320	0 2 6
1.618	153	1 3 4
1.546	288	1 3 -1
1.466	220	2 2 7

Structural model:
```
data_Sr2MnAlCu2O7
_space_group_name_H-M_alt 'P 1'
_space_group_IT_number 1
_space_group_name_Hall 'P 1'
_cell_length_a 5.3207
_cell_length_b 5.3299
_cell_length_c 12.2744
_cell_angle_alpha 77.49
_cell_angle_beta 77.49
_cell_angle_gamma 89.99
loop_
_atom_site_label
_atom_site_type_symbol
_atom_site_fract_x
_atom_site_fract_y
_atom_site_fract_z
_atom_site_occupancy
Sr1 Sr 0.0000 0.0000 0.0000 1
Sr2 Sr 0.2034 0.2030 0.5923 1
Sr3 Sr 0.5142 0.4997 0.0000 1
Sr4 Sr 0.7175 0.7033 0.5923 1
Mn1 Mn 0.1698 0.6397 0.7963 1
Mn2 Mn 0.5476 0.1396 0.7963 1
Al1 Al 0.3589 0.3455 0.2963 1
Al2 Al 0.8599 0.8466 0.2963 1
Cu1 Cu 0.3010 0.7884 0.4131 1
Cu2 Cu 0.4176 0.9060 0.1791 1
Cu3 Cu 0.7992 0.2887 0.4129 1
Cu4 Cu 0.9186 0.4061 0.1794 1
O1 O 0.0244 0.5156 0.9552 1
O2 O 0.0903 0.0788 0.1886 1
O3 O 0.1267 0.1155 0.4039 1
O4 O 0.1832 0.6747 0.6374 1
O5 O 0.1916 0.0037 0.7963 1
O6 O 0.2360 0.5781 0.1888 1
O7 O 0.4822 0.4699 0.4036 1
O8 O 0.5260 0.5040 0.7962 1
O9 O 0.5343 0.0157 0.9551 1
O10 O 0.5919 0.2240 0.1877 1
O11 O 0.6280 0.9705 0.4032 1
O12 O 0.6938 0.1732 0.6377 1
O13 O 0.7365 0.7239 0.1882 1
O14 O 0.9823 0.6149 0.4043 1
```

---

Structure and simulated PXRD pattern of La2CrFeO6 (a DFT-relaxed cell (GGA+U, the Materials Project); CuKα).
Peak positions follow from Bragg's law for the DFT cell and can differ from measured ones.

Largest 10 diffraction maxima, in order of rising 2θ, 10 to 90 degrees two-theta:
d/Å	I (rel.)	index
3.960	163	0 0 2
2.800	1000	1 1 1
2.286	160	2 0 0
1.980	288	0 0 4
1.771	70	3 1 -3
1.617	405	3 1 -5
1.400	147	4 0 -4
1.253	87	3 3 -1
1.251	55	1 1 5
1.143	44	4 0 0

Structural model:
```
data_La2CrFeO6
_space_group_name_H-M_alt 'P 1 21/c 1'
_space_group_IT_number 14
_space_group_name_Hall '-P 2ybc'
_cell_length_a 5.6045
_cell_length_b 5.6019
_cell_length_c 9.6971
_cell_angle_alpha 90.00
_cell_angle_beta 125.32
_cell_angle_gamma 90.00
loop_
_atom_site_label
_atom_site_type_symbol
_atom_site_fract_x
_atom_site_fract_y
_atom_site_fract_z
_atom_site_occupancy
La1 La 0.2422 0.0286 0.2500 1
Cr1 Cr 0.0000 0.0000 0.5000 1
Fe1 Fe 0.5000 0.0000 0.0000 1
O1 O 0.1749 0.2191 0.9559 1
O2 O 0.2364 0.7185 0.9558 1
O3 O 0.3314 0.0157 0.7496 1
```

---

Structure and simulated PXRD pattern of Li3Cr2P3O12 (a DFT-relaxed cell (GGA+U, the Materials Project); CuKα).
Peak positions follow from Bragg's law for the DFT cell and can differ from measured ones.

Largest 10 diffraction maxima, in order of rising 2θ, 10 to 90 degrees two-theta:
d/Å	I (rel.)	index
6.247	324	0 0 3
3.618	1000	1 1 3
3.417	541	2 0 -3
2.658	406	0 2 0
2.561	501	1 1 -6
2.551	512	1 1 6
2.413	480	3 1 0
2.024	245	0 2 6
1.561	209	0 0 12
1.430	228	4 2 6

Structural model:
```
data_Li3Cr2P3O12
_space_group_name_H-M_alt 'C 1 2/m 1'
_space_group_IT_number 12
_space_group_name_Hall '-C 2y'
_cell_length_a 8.1227
_cell_length_b 5.3162
_cell_length_c 18.7424
_cell_angle_alpha 90.00
_cell_angle_beta 90.43
_cell_angle_gamma 90.00
loop_
_atom_site_label
_atom_site_type_symbol
_atom_site_fract_x
_atom_site_fract_y
_atom_site_fract_z
_atom_site_occupancy
Li1 Li 0.0001 0.0000 0.1670 1
Li2 Li 0.1731 0.5000 0.2454 1
Li3 Li 0.1753 0.5000 0.9107 1
Cr1 Cr 0.0000 0.0000 0.0000 1
Cr2 Cr 0.0000 0.0000 0.5000 1
Cr3 Cr 0.0025 0.0000 0.6645 1
P1 P 0.1497 0.5000 0.0792 1
P2 P 0.1523 0.5000 0.4174 1
P3 P 0.1550 0.5000 0.7436 1
O1 O 0.0308 0.2650 0.0764 1
O2 O 0.0349 0.2650 0.7396 1
O3 O 0.0357 0.2579 0.4186 1
O4 O 0.2313 0.0000 0.3212 1
O5 O 0.2372 0.0000 0.5170 1
O6 O 0.2408 0.0000 0.9881 1
O7 O 0.2484 0.5000 0.8137 1
O8 O 0.2492 0.0000 0.6523 1
O9 O 0.2500 0.0000 0.8527 1
```

---

Structure and simulated PXRD pattern of SrCeEuCrO6 (a DFT-relaxed cell (GGA+U, the Materials Project); CuKα).
Peak positions follow from Bragg's law for the DFT cell and can differ from measured ones.

Largest 10 diffraction maxima, in order of rising 2θ, 10 to 90 degrees two-theta:
d/Å	I (rel.)	index
4.783	129	1 1 1
2.929	1000	2 2 0
2.498	96	3 1 1
2.071	317	4 0 0
1.901	51	3 3 1
1.691	394	4 2 2
1.465	192	4 4 0
1.310	174	6 2 0
1.196	63	4 4 4
1.107	211	6 4 2

Structural model:
```
data_SrCeEuCrO6
_space_group_name_H-M_alt 'F -4 3 m'
_space_group_IT_number 216
_space_group_name_Hall 'F -4 2 3'
_cell_length_a 8.2847
_cell_length_b 8.2847
_cell_length_c 8.2847
_cell_angle_alpha 90.00
_cell_angle_beta 90.00
_cell_angle_gamma 90.00
loop_
_atom_site_label
_atom_site_type_symbol
_atom_site_fract_x
_atom_site_fract_y
_atom_site_fract_z
_atom_site_occupancy
Sr1 Sr 0.0000 0.0000 0.0000 1
Ce1 Ce 0.2500 0.2500 0.2500 1
Eu1 Eu 0.0000 0.0000 0.5000 1
Cr1 Cr 0.2500 0.2500 0.7500 1
O1 O 0.0146 0.2500 0.7500 1
```

---

Structure and simulated PXRD pattern of ErCrGeO5 (a DFT-relaxed cell (GGA+U, the Materials Project); CuKα).
Peak positions follow from Bragg's law for the DFT cell and can differ from measured ones.

Largest 10 diffraction maxima, in order of rising 2θ, 10 to 90 degrees two-theta:
d/Å	I (rel.)	index
5.796	236	0 0 1
3.101	753	1 2 1
2.929	1000	2 1 1
2.898	181	0 0 2
2.632	302	1 3 0
2.571	217	1 1 2
2.204	179	2 1 2
1.708	250	0 4 2
1.679	196	2 1 3
1.563	375	4 0 2

Structural model:
```
data_ErCrGeO5
_space_group_name_H-M_alt 'P b a m'
_space_group_IT_number 55
_space_group_name_Hall '-P 2 2ab'
_cell_length_a 7.4140
_cell_length_b 8.4468
_cell_length_c 5.7964
_cell_angle_alpha 90.00
_cell_angle_beta 90.00
_cell_angle_gamma 90.00
loop_
_atom_site_label
_atom_site_type_symbol
_atom_site_fract_x
_atom_site_fract_y
_atom_site_fract_z
_atom_site_occupancy
Er1 Er 0.1458 0.1728 0.0000 1
Cr1 Cr 0.0000 0.5000 0.2502 1
Ge1 Ge 0.1165 0.8546 0.5000 1
O1 O 0.0000 0.0000 0.2871 1
O2 O 0.1124 0.7168 0.2491 1
O3 O 0.1570 0.4179 0.5000 1
O4 O 0.1695 0.4414 0.0000 1
```